Starting from a structure optimized by DFT (GGA-PBE), the powder diffractogram of HoAgS2O8 was calculated for Cu Ka.

Structure:
```
HoAgS2O8
1.0
2.531 1.461 7.578
-2.531 1.461 7.578
0.000 -2.923 7.578
Ho Ag S O
1 1 2 8
Direct
0.000 0.000 0.000
0.500 0.500 0.500
0.250 0.250 0.250
0.750 0.750 0.750
0.004 0.259 0.557
0.186 0.186 0.186
0.259 0.557 0.004
0.443 0.996 0.741
0.557 0.004 0.259
0.741 0.443 0.996
0.814 0.814 0.814
0.996 0.741 0.443
```

Most intense lines, 10 to 90 degrees two-theta, most intense first:
- 3.471 Å, 2θ 25.66, intensity 100
- 2.531 Å, 2θ 35.46, intensity 36
- 4.091 Å, 2θ 21.73, intensity 28
- 2.385 Å, 2θ 37.72, intensity 27
- 2.105 Å, 2θ 42.97, intensity 27
- 1.517 Å, 2θ 61.10, intensity 16
- 2.045 Å, 2θ 44.29, intensity 16
- 1.591 Å, 2θ 57.97, intensity 16
- 1.431 Å, 2θ 65.17, intensity 10
- 1.461 Å, 2θ 63.67, intensity 10

***

Starting from a structure optimized by DFT (GGA-PBE), the powder diffractogram of HoAgSeO was calculated for Cu Ka.

Structure:
```
HoAgSeO
1.0
1.996 1.152 10.929
-1.996 1.152 10.929
0.000 -2.304 10.929
Ho Ag Se O
2 2 2 2
Direct
0.125 0.125 0.125
0.875 0.875 0.875
0.308 0.308 0.308
0.692 0.692 0.692
0.400 0.400 0.400
0.600 0.600 0.600
0.192 0.192 0.192
0.808 0.808 0.808
```

Most intense lines, 10 to 90 degrees two-theta, most intense first:
- 3.185 Å, 2θ 28.01, intensity 100
- 1.996 Å, 2θ 45.45, intensity 80
- 2.781 Å, 2θ 32.18, intensity 56
- 2.257 Å, 2θ 39.94, intensity 55
- 2.379 Å, 2θ 37.82, intensity 37
- 3.058 Å, 2θ 29.21, intensity 32
- 1.612 Å, 2θ 57.16, intensity 19
- 1.230 Å, 2θ 77.65, intensity 19
- 1.763 Å, 2θ 51.87, intensity 18
- 1.691 Å, 2θ 54.24, intensity 16

***

Starting from a structure optimized by DFT (GGA-PBE), the powder diffractogram of Ho3Ag2Os was calculated for Cu Ka.

Structure:
```
Ho3Ag2Os
1.0
4.974 0.000 0.000
0.000 7.249 0.000
-2.466 0.000 7.407
Ho Ag Os
6 4 2
Direct
0.000 0.233 0.000
0.000 0.767 0.000
0.327 0.228 0.654
0.327 0.772 0.654
0.673 0.228 0.346
0.673 0.772 0.346
0.165 0.500 0.330
0.500 0.000 0.000
0.500 0.500 0.000
0.835 0.500 0.670
0.164 0.000 0.329
0.836 0.000 0.671
```

Most intense lines, 10 to 90 degrees two-theta, most intense first:
- 2.519 Å, 2θ 35.64, intensity 100
- 2.487 Å, 2θ 36.11, intensity 25
- 2.469 Å, 2θ 36.39, intensity 24
- 1.443 Å, 2θ 64.58, intensity 9
- 1.441 Å, 2θ 64.68, intensity 9
- 1.755 Å, 2θ 52.12, intensity 9
- 1.750 Å, 2θ 52.28, intensity 9
- 1.812 Å, 2θ 50.35, intensity 8
- 1.465 Å, 2θ 63.52, intensity 8
- 1.436 Å, 2θ 64.94, intensity 8

***

Starting from a structure optimized by DFT (GGA-PBE), the powder diffractogram of Ho6Ag5Pd was calculated for Cu Ka.

Structure:
```
Ho6Ag5Pd
1.0
2.542 -7.655 0.000
2.542 7.655 0.000
0.000 0.000 7.184
Ho Ag Pd
6 5 1
Direct
0.000 0.000 0.243
0.000 0.000 0.757
0.337 0.663 0.247
0.337 0.663 0.753
0.663 0.337 0.247
0.663 0.337 0.753
0.168 0.832 0.500
0.171 0.829 0.000
0.500 0.500 0.500
0.829 0.171 0.000
0.832 0.168 0.500
0.500 0.500 0.000
```

Most intense lines, 10 to 90 degrees two-theta, most intense first:
- 2.543 Å, 2θ 35.29, intensity 100
- 1.468 Å, 2θ 63.37, intensity 28
- 2.552 Å, 2θ 35.17, intensity 20
- 1.801 Å, 2θ 50.69, intensity 14
- 1.472 Å, 2θ 63.18, intensity 14
- 1.272 Å, 2θ 74.64, intensity 11
- 1.138 Å, 2θ 85.25, intensity 9
- 1.796 Å, 2θ 50.84, intensity 7
- 1.136 Å, 2θ 85.46, intensity 6
- 3.599 Å, 2θ 24.74, intensity 5

***

Starting from a structure optimized by DFT (GGA-PBE), the powder diffractogram of Ho3Ag2Pd was calculated for Cu Ka.

Structure:
```
Ho3Ag2Pd
1.0
3.568 0.000 0.000
0.000 3.568 0.000
0.000 0.000 10.814
Ho Ag Pd
3 2 1
Direct
0.000 0.000 0.000
0.000 0.000 0.343
0.000 0.000 0.657
0.500 0.500 0.169
0.500 0.500 0.831
0.500 0.500 0.500
```

Most intense lines, 10 to 90 degrees two-theta, most intense first:
- 2.536 Å, 2θ 35.40, intensity 100
- 2.523 Å, 2θ 35.58, intensity 50
- 1.459 Å, 2θ 63.79, intensity 35
- 1.784 Å, 2θ 51.20, intensity 18
- 1.467 Å, 2θ 63.43, intensity 17
- 1.268 Å, 2θ 74.89, intensity 11
- 1.802 Å, 2θ 50.65, intensity 9
- 1.128 Å, 2θ 86.19, intensity 8
- 1.129 Å, 2θ 86.08, intensity 8
- 1.139 Å, 2θ 85.22, intensity 7

***

Starting from a structure optimized by DFT (GGA-PBE), the powder diffractogram of HoAg2Pd5 was calculated for Cu Ka.

Structure:
```
HoAg2Pd5
1.0
-2.057 2.057 8.046
2.057 -2.057 8.046
2.057 2.057 -8.046
Ho Ag Pd
1 2 5
Direct
0.000 0.000 0.000
0.251 0.251 0.000
0.749 0.749 0.000
0.126 0.626 0.500
0.374 0.874 0.500
0.500 0.500 0.000
0.626 0.126 0.500
0.874 0.374 0.500
```

Most intense lines, 10 to 90 degrees two-theta, most intense first:
- 2.358 Å, 2θ 38.17, intensity 100
- 2.057 Å, 2θ 44.01, intensity 33
- 1.238 Å, 2θ 77.02, intensity 25
- 1.438 Å, 2θ 64.82, intensity 21
- 2.012 Å, 2θ 45.07, intensity 15
- 1.218 Å, 2θ 78.54, intensity 12
- 1.179 Å, 2θ 81.69, intensity 11
- 1.455 Å, 2θ 64.00, intensity 11
- 3.987 Å, 2θ 22.30, intensity 1
- 8.046 Å, 2θ 11.00, intensity 1